Entry 1:
Structure and computed powder XRD pattern of Tb5Th3Se8 (a DFT-relaxed cell (PBE, Alexandria); CuKα).

Principal peaks in the range 2θ = 15–90°, in order of rising 2θ:
| 2θ/deg | d_spacing | I_rel |
| --- | --- | --- |
| 25.6 | 3.474 | 9 |
| 26.6 | 3.346 | 21 |
| 30.6 | 2.924 | 100 |
| 43.2 | 2.096 | 39 |
| 44.4 | 2.040 | 36 |
| 54.9 | 1.673 | 19 |
| 63.6 | 1.462 | 12 |
| 71.3 | 1.322 | 17 |
| 73.2 | 1.294 | 16 |
| 80.9 | 1.188 | 13 |

Atomic structure:
abc: 8.3924 8.3924 8.3924
angles: 58.17 58.17 58.17
Sites, in units of the cell vectors:
1 Tb 0.0000 0.0000 0.0000
2 Tb 0.0000 0.5000 0.5000
3 Tb 0.5000 0.0000 0.5000
4 Tb 0.5000 0.5000 0.0000
5 Tb 0.5000 0.5000 0.5000
6 Th 0.0000 0.0000 0.5000
7 Th 0.0000 0.5000 0.0000
8 Th 0.5000 0.0000 0.0000
9 Se 0.2496 0.2496 0.7419
10 Se 0.2496 0.7419 0.2496
11 Se 0.2545 0.2545 0.2545
12 Se 0.2581 0.7504 0.7504
13 Se 0.7419 0.2496 0.2496
14 Se 0.7455 0.7455 0.7455
15 Se 0.7504 0.2581 0.7504
16 Se 0.7504 0.7504 0.2581

***

Entry 2:
Structure and computed powder XRD pattern of CsRbBeCl4 (a DFT-relaxed cell (PBE, Alexandria); CuKα).

Principal peaks in the range 2θ = 15–90°, in order of rising 2θ:
| 2θ/deg | d_spacing | I_rel |
| --- | --- | --- |
| 18.6 | 4.764 | 100 |
| 19.3 | 4.592 | 39 |
| 22.9 | 3.882 | 42 |
| 23.2 | 3.838 | 50 |
| 25.0 | 3.564 | 60 |
| 27.3 | 3.264 | 50 |
| 28.0 | 3.188 | 84 |
| 31.7 | 2.825 | 68 |
| 31.9 | 2.807 | 61 |
| 37.7 | 2.383 | 43 |

Atomic structure:
abc: 6.8131 7.1277 9.8370
angles: 90.00 109.79 90.00
Sites, in units of the cell vectors:
1 Cs 0.1706 0.2500 0.4055
2 Cs 0.8294 0.7500 0.5945
3 Rb 0.2934 0.2500 0.9702
4 Rb 0.7066 0.7500 0.0298
5 Be 0.3265 0.7500 0.2160
6 Be 0.6735 0.2500 0.7840
7 Cl 0.1190 0.7500 0.3244
8 Cl 0.1780 0.7500 0.9954
9 Cl 0.4871 0.0182 0.7309
10 Cl 0.4871 0.4818 0.7309
11 Cl 0.5129 0.5182 0.2691
12 Cl 0.5129 0.9818 0.2691
13 Cl 0.8220 0.2500 0.0046
14 Cl 0.8810 0.2500 0.6756

***

Entry 3:
Structure and computed powder XRD pattern of LiZn3Au7 (a DFT-relaxed cell (PBE, Alexandria); CuKα).

Principal peaks in the range 2θ = 15–90°, in order of rising 2θ:
| 2θ/deg | d_spacing | I_rel |
| --- | --- | --- |
| 25.6 | 3.477 | 90 |
| 33.7 | 2.658 | 36 |
| 34.0 | 2.633 | 70 |
| 37.6 | 2.394 | 100 |
| 39.0 | 2.307 | 32 |
| 39.2 | 2.297 | 84 |
| 40.3 | 2.237 | 71 |
| 43.3 | 2.092 | 54 |
| 47.4 | 1.918 | 34 |
| 51.6 | 1.771 | 36 |

Atomic structure:
abc: 6.3603 6.3603 5.4844
angles: 104.76 104.76 97.66
Sites, in units of the cell vectors:
1 Li 0.0000 0.0000 0.0000
2 Zn 0.2693 0.7307 0.5000
3 Zn 0.5000 0.5000 0.0000
4 Zn 0.7307 0.2693 0.5000
5 Au 0.0000 0.0000 0.5000
6 Au 0.0901 0.5628 0.8173
7 Au 0.3155 0.3155 0.4502
8 Au 0.4372 0.9099 0.1827
9 Au 0.5628 0.0901 0.8173
10 Au 0.6845 0.6845 0.5498
11 Au 0.9099 0.4372 0.1827

***

Entry 4:
Structure and computed powder XRD pattern of BaAg2TeS (a DFT-relaxed cell (PBE, Alexandria); CuKα).

Principal peaks in the range 2θ = 15–90°, in order of rising 2θ:
| 2θ/deg | d_spacing | I_rel |
| --- | --- | --- |
| 26.0 | 3.430 | 20 |
| 28.0 | 3.187 | 47 |
| 29.6 | 3.021 | 100 |
| 30.0 | 2.983 | 53 |
| 36.1 | 2.488 | 32 |
| 37.1 | 2.426 | 32 |
| 38.6 | 2.335 | 28 |
| 46.3 | 1.961 | 15 |
| 47.1 | 1.930 | 23 |
| 50.9 | 1.794 | 21 |

Atomic structure:
abc: 8.0109 8.0109 8.0109
angles: 129.29 129.29 74.54
Sites, in units of the cell vectors:
1 Ba 0.0000 0.0000 0.0000
2 Ba 0.5000 0.5000 0.0000
3 Ag 0.0496 0.5496 0.1617
4 Ag 0.3878 0.8878 0.8383
5 Ag 0.5496 0.3878 0.5000
6 Ag 0.8878 0.0496 0.5000
7 Te 0.0336 0.5336 0.5000
8 Te 0.5336 0.0336 0.5000
9 S 0.2590 0.2590 0.0000
10 S 0.7590 0.7590 0.0000

***

Entry 5:
Structure and computed powder XRD pattern of Na3MoCl7 (a DFT-relaxed cell (PBE, Alexandria); CuKα).

Principal peaks in the range 2θ = 15–90°, in order of rising 2θ:
| 2θ/deg | d_spacing | I_rel |
| --- | --- | --- |
| 15.7 | 5.645 | 100 |
| 23.0 | 3.870 | 91 |
| 26.1 | 3.415 | 70 |
| 35.4 | 2.537 | 51 |
| 35.8 | 2.507 | 44 |
| 37.9 | 2.373 | 83 |
| 39.9 | 2.258 | 38 |
| 40.7 | 2.219 | 38 |
| 42.0 | 2.150 | 48 |
| 48.4 | 1.880 | 49 |

Atomic structure:
abc: 6.7763 6.7763 7.1378
angles: 110.64 110.64 95.47
Sites, in units of the cell vectors:
1 Na 0.0000 0.0000 0.0000
2 Na 0.2397 0.6889 0.4143
3 Na 0.6889 0.2397 0.4143
4 Mo 0.5241 0.5241 0.9531
5 Cl 0.1611 0.4678 0.6636
6 Cl 0.3462 0.3462 0.1201
7 Cl 0.3690 0.8257 0.1268
8 Cl 0.4678 0.1611 0.6636
9 Cl 0.6546 0.6546 0.7242
10 Cl 0.8257 0.3690 0.1268
11 Cl 0.8446 0.8446 0.2551

***

Entry 6:
Structure and computed powder XRD pattern of Ca3DyHo3S8 (a DFT-relaxed cell (PBE, Alexandria); CuKα).

Principal peaks in the range 2θ = 15–90°, in order of rising 2θ:
| 2θ/deg | d_spacing | I_rel |
| --- | --- | --- |
| 26.6 | 3.350 | 39 |
| 27.8 | 3.212 | 33 |
| 32.0 | 2.794 | 100 |
| 34.9 | 2.569 | 18 |
| 45.6 | 1.989 | 36 |
| 46.3 | 1.963 | 35 |
| 48.4 | 1.880 | 17 |
| 57.4 | 1.606 | 18 |
| 75.7 | 1.256 | 15 |
| 76.7 | 1.243 | 15 |

Atomic structure:
abc: 7.9558 7.9558 7.9558
angles: 59.13 59.13 59.13
Sites, in units of the cell vectors:
1 Ca 0.0000 0.5000 0.5000
2 Ca 0.5000 0.0000 0.5000
3 Ca 0.5000 0.5000 0.0000
4 Dy 0.5000 0.5000 0.5000
5 Ho 0.0000 0.0000 0.5000
6 Ho 0.0000 0.5000 0.0000
7 Ho 0.5000 0.0000 0.0000
8 S 0.2464 0.7458 0.7458
9 S 0.2475 0.2475 0.2475
10 S 0.2542 0.2542 0.7536
11 S 0.2542 0.7536 0.2542
12 S 0.7458 0.2464 0.7458
13 S 0.7458 0.7458 0.2464
14 S 0.7525 0.7525 0.7525
15 S 0.7536 0.2542 0.2542

***

Entry 7:
Structure and computed powder XRD pattern of LaNd15Tm4 (a DFT-relaxed cell (PBE, Alexandria); CuKα).

Principal peaks in the range 2θ = 15–90°, in order of rising 2θ:
| 2θ/deg | d_spacing | I_rel |
| --- | --- | --- |
| 30.0 | 2.978 | 100 |
| 34.8 | 2.579 | 51 |
| 50.0 | 1.823 | 36 |
| 59.4 | 1.556 | 29 |
| 59.5 | 1.553 | 14 |
| 62.4 | 1.489 | 12 |
| 81.3 | 1.184 | 6 |
| 81.3 | 1.183 | 11 |
| 83.8 | 1.154 | 6 |
| 83.9 | 1.154 | 5 |

Atomic structure:
abc: 5.1612 5.1612 25.7514
angles: 90.00 90.00 90.00
Sites, in units of the cell vectors:
1 La 0.0000 0.0000 0.0000
2 Nd 0.0000 0.5000 0.1031
3 Nd 0.0000 0.5000 0.3016
4 Nd 0.0000 0.5000 0.5000
5 Nd 0.0000 0.5000 0.6984
6 Nd 0.0000 0.5000 0.8969
7 Nd 0.5000 0.0000 0.1031
8 Nd 0.5000 0.0000 0.3016
9 Nd 0.5000 0.0000 0.5000
10 Nd 0.5000 0.0000 0.6984
11 Nd 0.5000 0.0000 0.8969
12 Nd 0.5000 0.5000 0.0000
13 Nd 0.5000 0.5000 0.2035
14 Nd 0.5000 0.5000 0.4009
15 Nd 0.5000 0.5000 0.5991
16 Nd 0.5000 0.5000 0.7965
17 Tm 0.0000 0.0000 0.2024
18 Tm 0.0000 0.0000 0.4009
19 Tm 0.0000 0.0000 0.5991
20 Tm 0.0000 0.0000 0.7976

***

Entry 8:
Structure and computed powder XRD pattern of LiTb4Sm5 (a DFT-relaxed cell (PBE, Alexandria); CuKα).

Principal peaks in the range 2θ = 15–90°, in order of rising 2θ:
| 2θ/deg | d_spacing | I_rel |
| --- | --- | --- |
| 28.8 | 3.104 | 11 |
| 30.8 | 2.899 | 100 |
| 35.2 | 2.552 | 39 |
| 36.9 | 2.434 | 12 |
| 50.6 | 1.805 | 14 |
| 51.9 | 1.761 | 17 |
| 59.0 | 1.566 | 10 |
| 60.4 | 1.532 | 30 |
| 64.3 | 1.450 | 9 |
| 84.7 | 1.145 | 10 |

Atomic structure:
abc: 3.6093 3.6093 24.3352
angles: 90.00 90.00 90.00
Sites, in units of the cell vectors:
1 Li 0.0000 0.0000 0.0000
2 Tb 0.0000 0.0000 0.1876
3 Tb 0.0000 0.0000 0.3957
4 Tb 0.0000 0.0000 0.6043
5 Tb 0.0000 0.0000 0.8124
6 Sm 0.5000 0.5000 0.0857
7 Sm 0.5000 0.5000 0.2918
8 Sm 0.5000 0.5000 0.5000
9 Sm 0.5000 0.5000 0.7082
10 Sm 0.5000 0.5000 0.9143